[1]
The following is a theoretical X-ray diffraction stick pattern of BaZr3. It was derived from a structure optimized by DFT (PBE), using Cu Kα, 1.54184 Å.

Peak list (10 most intense, 2θ from 10° to 80°, low angle first)
2θ/deg  I_rel  h k l
25.83  19  1 0 1
32.49  100  1 0 2
33.08  66  1 1 0
33.88  8  0 0 3
47.48  23  2 0 0
48.08  12  1 1 3
51.90  13  1 0 4
58.71  35  2 1 2
72.96  9  2 1 4
79.06  10  3 1 0

Structure:
```
data_BaZr3
_cell_length_a 3.8302
_cell_length_b 3.8302
_cell_length_c 7.9367
_cell_angle_alpha 90.00
_cell_angle_beta 90.00
_cell_angle_gamma 90.00
_space_group_name_H-M_alt 'P 1'
_space_group_IT_number 1
loop_
_space_group_symop_operation_xyz
'x,y,z'
loop_
_atom_site_label
_atom_site_type_symbol
_atom_site_fract_x
_atom_site_fract_y
_atom_site_fract_z
Ba1 Ba 0.0000 0.0000 0.0000
Zr1 Zr 0.0000 0.0000 0.5000
Zr2 Zr 0.5000 0.5000 0.3165
Zr3 Zr 0.5000 0.5000 0.6835
```

=====

[2]
The following is a theoretical X-ray diffraction stick pattern of Be. It was derived from a structure optimized by DFT (PBE), using Cu Kα, 1.54184 Å.

Peak list (10 most intense, 2θ from 10° to 80°, low angle first)
2θ/deg  I_rel  h k l
17.51  22  1 0 0
30.28  14  1 0 1
30.58  18  1 1 0
35.45  2  2 0 0
47.51  23  1 2 0
50.23  27  0 0 2
54.17  100  1 2 1
59.95  4  1 1 2
71.62  15  1 2 2
72.10  3  3 1 1

Structure:
```
data_Be
_cell_length_a 5.8472
_cell_length_b 5.8472
_cell_length_c 3.6329
_cell_angle_alpha 90.00
_cell_angle_beta 90.00
_cell_angle_gamma 120.00
_space_group_name_H-M_alt 'P 1'
_space_group_IT_number 1
loop_
_space_group_symop_operation_xyz
'x,y,z'
loop_
_atom_site_label
_atom_site_type_symbol
_atom_site_fract_x
_atom_site_fract_y
_atom_site_fract_z
Be1 Be 0.0320 0.7992 0.2500
Be2 Be 0.0812 0.6201 0.7500
Be3 Be 0.2008 0.2328 0.2500
Be4 Be 0.2328 0.0320 0.7500
Be5 Be 0.3799 0.4611 0.7500
Be6 Be 0.4611 0.0812 0.2500
Be7 Be 0.5389 0.9188 0.7500
Be8 Be 0.6201 0.5389 0.2500
Be9 Be 0.7672 0.9680 0.2500
Be10 Be 0.7992 0.7672 0.7500
Be11 Be 0.9188 0.3799 0.2500
Be12 Be 0.9680 0.2008 0.7500
```